Diffraction record for SnMo2Se4S2. The powder XRD pattern is theoretical, not measured: it uses a structure optimized by DFT (GGA-PBE) and Cu Kα, 1.54184 Å.
Lines closer than 0.1° are merged.

Principal peaks in the range 10 to 90 degrees two-theta, low angle first:
2θ = 12.4°, I = 100, hkl 0 0 3; 2θ = 30.1°, I = 35, hkl 1 0 0; 2θ = 32.7°, I = 19, hkl 0 1 3; 2θ = 34.6°, I = 18, hkl 1 0 4; 2θ = 36.8°, I = 58, hkl 0 1 5; 2θ = 42.4°, I = 19, hkl 1 0 7; 2θ = 45.7°, I = 37, hkl 0 1 8; 2θ = 53.4°, I = 26, hkl 1 1 0; 2θ = 55.1°, I = 13, hkl 1 1 3; 2θ = 77.2°, I = 12, hkl 1 1 12

```
data_SnMo2Se4S2
_cell_length_a 3.4288
_cell_length_b 3.4288
_cell_length_c 21.3907
_cell_angle_alpha 90.00
_cell_angle_beta 90.00
_cell_angle_gamma 120.00
_space_group_name_H-M_alt 'P 3 m 1'
_space_group_IT_number 156
loop_
_space_group_symop_operation_xyz
'x,y,z'
'-y,x-y,z'
'-x+y,-x,z'
'-y,-x,z'
'-x+y,y,z'
'x,x-y,z'
loop_
_atom_site_label
_atom_site_type_symbol
_atom_site_fract_x
_atom_site_fract_y
_atom_site_fract_z
Sn1 Sn 0.0000 0.0000 0.0000
Mo1 Mo 0.0000 0.0000 0.6499
Mo2 Mo 0.6667 0.3333 0.3204
Se1 Se 0.0000 0.0000 0.2438
Se2 Se 0.0000 0.0000 0.3970
Se3 Se 0.6667 0.3333 0.5734
Se4 Se 0.6667 0.3333 0.7265
S1 S 0.6667 0.3333 0.0767
S2 S 0.6667 0.3333 0.9234
```

---

Diffraction record for Li4Pb. The powder XRD pattern is theoretical, not measured: it uses a structure optimized by DFT (GGA-PBE) and Cu Kα, 1.54184 Å.
Lines closer than 0.1° are merged.

Principal peaks in the range 10 to 90 degrees two-theta, low angle first:
2θ = 17.7°, I = 72, hkl 1 0 0; 2θ = 20.5°, I = 100, hkl 0 1 1; 2θ = 21.1°, I = 46, hkl 0 0 2; 2θ = 26.6°, I = 26, hkl 1 0 -2; 2θ = 26.7°, I = 52, hkl 1 1 -1; 2θ = 27.8°, I = 47, hkl 1 1 1; 2θ = 28.8°, I = 22, hkl 1 0 2; 2θ = 36.7°, I = 27, hkl 0 1 3; 2θ = 39.8°, I = 22, hkl 1 1 -3; 2θ = 40.1°, I = 23, hkl 1 2 0

```
data_Li4Pb
_cell_length_a 5.016
_cell_length_b 5.040
_cell_length_c 8.433
_cell_angle_alpha 90.00
_cell_angle_beta 94.60
_cell_angle_gamma 90.00
_space_group_name_H-M_alt 'P 1 21/c 1'
_space_group_IT_number 14
loop_
_space_group_symop_operation_xyz
'x,y,z'
'-x,-y,-z'
'-x,y+1/2,-z+1/2'
'x,-y+1/2,z+1/2'
loop_
_atom_site_label
_atom_site_type_symbol
_atom_site_fract_x
_atom_site_fract_y
_atom_site_fract_z
Li1 Li 0.001 0.018 0.335
Li2 Li 0.493 0.709 0.382
Pb1 Pb 0.000 0.000 0.000
```

---

Diffraction record for Ca6CeO8. The powder XRD pattern is theoretical, not measured: it uses a structure optimized by DFT (GGA-PBE) and Cu Kα, 1.54184 Å.
Lines closer than 0.1° are merged.

Principal peaks in the range 10 to 90 degrees two-theta, low angle first:
2θ = 15.7°, I = 96, hkl 1 1 1; 2θ = 30.4°, I = 46, hkl 3 1 1; 2θ = 31.8°, I = 50, hkl 2 2 2; 2θ = 36.9°, I = 100, hkl 4 0 0; 2θ = 48.5°, I = 21, hkl 5 1 1; 2θ = 53.1°, I = 61, hkl 4 4 0; 2θ = 55.7°, I = 20, hkl 5 3 1; 2θ = 63.2°, I = 24, hkl 6 2 2; 2θ = 66.4°, I = 19, hkl 4 4 4; 2θ = 90.0°, I = 23, hkl 8 4 0

```
data_Ca6CeO8
_cell_length_a 9.755
_cell_length_b 9.755
_cell_length_c 9.755
_cell_angle_alpha 90.00
_cell_angle_beta 90.00
_cell_angle_gamma 90.00
_space_group_name_H-M_alt 'F m -3 m'
_space_group_IT_number 225
_space_group_name_Hall '-F 4 2 3'
loop_
_atom_site_label
_atom_site_type_symbol
_atom_site_fract_x
_atom_site_fract_y
_atom_site_fract_z
Ca1 Ca 0.000 0.250 0.250
Ce1 Ce 0.000 0.000 0.000
O1 O 0.000 0.000 0.230
O2 O 0.250 0.250 0.250
```

---

Diffraction record for NiBi6Rh3. The powder XRD pattern is theoretical, not measured: it uses a structure optimized by DFT (GGA-PBE) and Cu Kα, 1.54184 Å.
Lines closer than 0.1° are merged.

Principal peaks in the range 10 to 90 degrees two-theta, low angle first:
2θ = 28.2°, I = 47, hkl 2 1 -2; 2θ = 29.4°, I = 92, hkl 1 2 -1; 2θ = 29.6°, I = 48, hkl 2 1 -1; 2θ = 29.8°, I = 78, hkl 2 1 -3; 2θ = 30.1°, I = 100, hkl 1 0 2; 2θ = 30.5°, I = 84, hkl 1 0 -4; 2θ = 30.9°, I = 49, hkl 1 2 -2; 2θ = 38.7°, I = 96, hkl 0 2 3; 2θ = 42.4°, I = 63, hkl 1 3 -1; 2θ = 44.1°, I = 55, hkl 3 1 -1

```
data_NiBi6Rh3
_cell_length_a 7.178
_cell_length_b 6.696
_cell_length_c 11.969
_cell_angle_alpha 90.00
_cell_angle_beta 125.87
_cell_angle_gamma 90.00
_space_group_name_H-M_alt 'P 1 21/c 1'
_space_group_IT_number 14
loop_
_space_group_symop_operation_xyz
'x,y,z'
'-x,-y,-z'
'-x,y+1/2,-z+1/2'
'x,-y+1/2,z+1/2'
loop_
_atom_site_label
_atom_site_type_symbol
_atom_site_fract_x
_atom_site_fract_y
_atom_site_fract_z
Ni1 Ni 0.000 0.000 0.000
Bi1 Bi 0.079 0.016 0.248
Bi2 Bi 0.251 0.156 0.588
Bi3 Bi 0.404 0.654 0.582
Rh1 Rh 0.289 0.662 0.259
Rh2 Rh 0.500 0.000 0.500
```